CoH14C12N6O8: theoretical powder diffractogram (copper Kα), based on a cell relaxed with GGA+U.
Peak positions follow from Bragg's law for the DFT cell and can differ from measured ones.

Peak list (6 most intense, 5 to 70 degrees two-theta, sorted by position)
(1 0 0), 2θ 13.62, 6.499 Å, I = 60
(1 1 1), 2θ 16.72, 5.302 Å, I = 47
(1 0 -1), 2θ 17.54, 5.056 Å, I = 100
(0 1 -1), 2θ 21.73, 4.090 Å, I = 44
(1 1 -1), 2θ 22.55, 3.943 Å, I = 40
(2 1 0), 2θ 26.20, 3.402 Å, I = 45

Atomic structure:
```
CoH14C12N6O8
1.0
6.907 0.000 0.000
2.588 7.465 0.000
0.533 3.528 7.200
Co H C N O
1 14 12 6 8
direct
0.000 0.000 0.000
0.082 0.777 0.466
0.187 0.515 0.097
0.212 0.819 0.818
0.323 0.228 0.968
0.346 0.385 0.772
0.380 0.806 0.959
0.426 0.801 0.362
0.574 0.199 0.638
0.620 0.194 0.041
0.654 0.615 0.228
0.677 0.772 0.032
0.788 0.181 0.182
0.813 0.485 0.903
0.918 0.223 0.534
0.133 0.672 0.407
0.141 0.147 0.244
0.178 0.541 0.219
0.328 0.085 0.369
0.375 0.196 0.447
0.458 0.889 0.423
0.542 0.111 0.577
0.625 0.804 0.553
0.672 0.915 0.631
0.822 0.459 0.781
0.859 0.853 0.756
0.867 0.328 0.593
0.094 0.715 0.226
0.238 0.482 0.512
0.262 0.400 0.390
0.738 0.600 0.610
0.762 0.518 0.488
0.906 0.285 0.774
0.034 0.765 0.724
0.179 0.091 0.113
0.258 0.898 0.866
0.394 0.327 0.904
0.606 0.673 0.096
0.742 0.102 0.134
0.821 0.909 0.887
0.966 0.235 0.276
```